# 1
The following is a calculated powder diffractogram of NdThTc. It was derived from a DFT-relaxed cell (PBE, Alexandria), using Cu Kα, 1.54184 Å.
Neutral-atom scattering factors, no anomalous dispersion.

Crystal structure
Cell lengths 9.391, 9.391, 9.391 Å; angles 28.62, 28.62, 28.62 degrees
Fractional coordinates of all 6 atoms:
1 Nd 0.129 0.129 0.129
2 Nd 0.871 0.871 0.871
3 Th 0.290 0.290 0.290
4 Th 0.710 0.710 0.710
5 Tc 0.408 0.408 0.408
6 Tc 0.592 0.592 0.592

The 8 most intense peaks (2θ from 10° to 80°), low angle first:
two_theta  Rel. int.
23.1  37
27.7  36
32.2  100
38.8  82
51.3  27
57.0  19
66.1  26
70.2  23

# 2
The following is a calculated powder diffractogram of Li2CaHBrF. It was derived from a DFT-relaxed cell (PBE, Alexandria), using Cu Kα, 1.54184 Å.
Neutral-atom scattering factors, no anomalous dispersion.

Crystal structure
Cell lengths 11.068, 3.786, 5.718 Å; angles 90.00, 108.14, 90.00 degrees
Fractional coordinates of all 12 atoms:
1 Li 0.000 0.000 0.000
2 Li 0.196 0.500 0.852
3 Li 0.500 0.500 0.000
4 Li 0.696 0.000 0.852
5 Ca 0.320 0.000 0.322
6 Ca 0.820 0.500 0.322
7 H 0.164 0.000 0.948
8 H 0.664 0.500 0.948
9 Br 0.110 0.500 0.368
10 Br 0.610 0.000 0.368
11 F 0.356 0.500 0.135
12 F 0.856 0.000 0.135

The 8 most intense peaks (2θ from 10° to 80°), low angle first:
two_theta  Rel. int.
16.3  100
25.0  26
28.5  21
32.9  32
34.9  25
35.0  29
39.6  24
42.6  22